Diffraction record for Au2Br3Cl4. The powder diffraction line list is simulated, not measured: it uses a crystal structure in Alexandria, relaxed with PBE and a wavelength of 1.5418 Å.
Lines closer than 0.1° are merged.

Structure:
abc: 8.724 9.606 9.739
angles: 87.67 70.25 68.83
Fractional coordinates of all 18 atoms:
Au 0.137 0.011 0.324
Au 0.280 0.450 0.701
Au 0.720 0.550 0.299
Au 0.863 0.989 0.676
Br 0.202 0.626 0.913
Br 0.385 0.291 0.880
Br 0.412 0.052 0.222
Br 0.588 0.948 0.778
Br 0.615 0.709 0.120
Br 0.798 0.374 0.087
Cl 0.121 0.047 0.570
Cl 0.137 0.970 0.094
Cl 0.162 0.627 0.562
Cl 0.372 0.259 0.520
Cl 0.628 0.741 0.480
Cl 0.838 0.373 0.438
Cl 0.863 0.030 0.906
Cl 0.879 0.953 0.430

Largest 10 diffraction maxima, by intensity, 10 to 90 degrees two-theta:
2θ 13.49, rel. 100
2θ 17.83, rel. 64
2θ 17.42, rel. 45
2θ 21.69, rel. 29
2θ 19.91, rel. 26
2θ 26.62, rel. 18
2θ 33.47, rel. 17
2θ 30.05, rel. 15
2θ 37.86, rel. 14
2θ 37.29, rel. 13

***

Diffraction record for AcPN3. The powder diffraction line list is simulated, not measured: it uses a crystal structure in Alexandria, relaxed with PBE and a wavelength of 1.5418 Å.
Lines closer than 0.1° are merged.

Structure:
abc: 5.061 5.847 4.942
angles: 90.00 90.00 90.00
Fractional coordinates of all 10 atoms:
Ac 0.250 0.250 0.070
Ac 0.750 0.750 0.930
P 0.250 0.750 0.482
P 0.750 0.250 0.518
N 0.250 0.526 0.660
N 0.250 0.750 0.163
N 0.250 0.974 0.660
N 0.750 0.026 0.340
N 0.750 0.250 0.837
N 0.750 0.474 0.340

Largest 10 diffraction maxima, by intensity, 10 to 90 degrees two-theta:
2θ 29.52, rel. 100
2θ 23.24, rel. 49
2θ 17.95, rel. 39
2θ 40.02, rel. 26
2θ 35.47, rel. 26
2θ 30.58, rel. 26
2θ 35.68, rel. 22
2θ 53.70, rel. 18
2θ 40.63, rel. 16
2θ 47.52, rel. 16

***

Diffraction record for Tb2CeDy5Er. The powder diffraction line list is simulated, not measured: it uses a crystal structure in Alexandria, relaxed with PBE and a wavelength of 1.5418 Å.
Lines closer than 0.1° are merged.

Structure:
abc: 11.123 11.123 9.517
angles: 90.00 90.00 150.41
Fractional coordinates of all 18 atoms:
Tb 0.114 0.886 0.500
Tb 0.133 0.867 0.885
Tb 0.867 0.133 0.385
Tb 0.886 0.114 0.000
Ce 0.190 0.810 0.197
Ce 0.810 0.190 0.697
Dy 0.014 0.986 0.189
Dy 0.267 0.733 0.509
Dy 0.306 0.694 0.891
Dy 0.395 0.605 0.223
Dy 0.471 0.529 0.925
Dy 0.529 0.471 0.425
Dy 0.605 0.395 0.723
Dy 0.694 0.306 0.391
Dy 0.733 0.267 0.009
Dy 0.986 0.014 0.689
Er 0.403 0.597 0.607
Er 0.597 0.403 0.107

Largest 10 diffraction maxima, by intensity, 10 to 90 degrees two-theta:
2θ 32.17, rel. 100
2θ 32.60, rel. 59
2θ 31.50, rel. 59
2θ 34.50, rel. 35
2θ 26.57, rel. 23
2θ 56.51, rel. 20
2θ 64.40, rel. 14
2θ 41.66, rel. 14
2θ 33.15, rel. 13
2θ 56.78, rel. 12